Ir4Pb: theoretical X-ray diffraction stick pattern (Cu Kα X-rays), based on the PBE geometry in Alexandria.
Intensities are scaled so that the largest is 100.

Main lines, low angle first (2θ from 15° to 90°):
- 38.81 deg, I 100, hkl 2 1 1
- 45.12 deg, I 50, hkl 0 0 2
- 57.06 deg, I 2, hkl 2 3 1
- 65.72 deg, I 32, hkl 1 3 2
- 79.02 deg, I 37, hkl 2 1 3
- 83.29 deg, I 11, hkl 4 2 2

Crystal structure
```
data_Ir4Pb
_chemical_formula_sum 'Ir8 Pb2'
_cell_length_a 6.356
_cell_length_b 6.356
_cell_length_c 4.017
_cell_angle_alpha 90.00
_cell_angle_beta 90.00
_cell_angle_gamma 90.00
_space_group_name_H-M_alt 'I 4/m'
_space_group_IT_number 87
_space_group_name_Hall '-I 4'
loop_
_atom_site_label
_atom_site_type_symbol
_atom_site_fract_x
_atom_site_fract_y
_atom_site_fract_z
Ir1 Ir 0.099 0.316 0.000
Pb1 Pb 0.000 0.000 0.500
```